The following is a computed X-ray powder pattern of Li4Ti3Ni2Sn3O16. It was derived from a structure optimized by DFT (GGA+U), using a wavelength of 1.5418 Å.
Neutral-atom scattering factors, no anomalous dispersion.

Structural model:
```
Li4Ti3Ni2Sn3O16
1.0
5.311 -3.047 0.000
5.311 3.047 0.000
-0.008 0.000 9.783
Li Ti Ni Sn O
4 3 2 3 16
Direct
0.000 0.000 0.000 Li
0.008 0.008 0.506 Li
0.321 0.321 0.616 Li
0.655 0.655 0.110 Li
0.161 0.161 0.282 Ti
0.328 0.820 0.786 Ti
0.820 0.328 0.786 Ti
0.323 0.323 0.010 Ni
0.657 0.657 0.513 Ni
0.161 0.654 0.289 Sn
0.654 0.161 0.289 Sn
0.820 0.820 0.788 Sn
0.025 0.464 0.167 O
0.151 0.151 0.890 O
0.158 0.676 0.899 O
0.315 0.843 0.396 O
0.318 0.318 0.405 O
0.464 0.025 0.167 O
0.473 0.473 0.162 O
0.498 0.952 0.668 O
0.509 0.509 0.675 O
0.648 0.648 0.900 O
0.676 0.158 0.899 O
0.837 0.837 0.408 O
0.843 0.315 0.396 O
0.952 0.498 0.668 O
0.996 0.996 0.688 O
0.997 0.997 0.183 O
```

Largest 10 diffraction maxima, low angle first, 2θ from 5° to 70°:
Position (°2θ)	intensity
18.14	83.8
19.06	100.0
24.77	46.8
32.24	38.6
34.56	36.8
35.01	28.9
35.18	52.6
44.11	43.9
58.71	32.6
60.48	27.6